Theoretical X-ray diffraction stick pattern of Ba3Li9Au2 for CuKα, from the GGA-PBE geometry in Alexandria.
Kinematic intensities with the Lorentz-polarization factor, no thermal factor.

Top 10 peaks for 2θ = 10–90°, by angle:
12.59 deg, rel. 46.8
19.51 deg, rel. 35.5
20.08 deg, rel. 48.9
20.23 deg, rel. 36.1
20.53 deg, rel. 23.3
25.18 deg, rel. 41.1
30.54 deg, rel. 31.7
31.03 deg, rel. 100.0
31.84 deg, rel. 20.4
37.40 deg, rel. 18.1

Structural model:
abc: 9.3173 9.3173 9.3173
angles: 150.09 105.78 82.03
Sites, in units of the cell vectors:
1 Ba 0.0000 0.0000 0.0000
2 Ba 0.3255 0.3255 0.0000
3 Ba 0.6745 0.6745 0.0000
4 Li 0.0058 0.6777 0.3281
5 Li 0.1787 0.8997 0.2790
6 Li 0.3497 0.6777 0.6719
7 Li 0.3793 0.1003 0.2790
8 Li 0.5000 0.0000 0.5000
9 Li 0.6207 0.8997 0.7210
10 Li 0.6503 0.3223 0.3281
11 Li 0.8213 0.1003 0.7210
12 Li 0.9942 0.3223 0.6719
13 Au 0.2770 0.5000 0.7770
14 Au 0.7230 0.5000 0.2230


Theoretical X-ray diffraction stick pattern of Ba3Li4Au3 for CuKα, from the GGA-PBE geometry in Alexandria.
Kinematic intensities with the Lorentz-polarization factor, no thermal factor.

Top 10 peaks for 2θ = 10–90°, by angle:
20.24 deg, rel. 100.0
23.42 deg, rel. 32.7
31.14 deg, rel. 70.2
37.43 deg, rel. 82.5
39.33 deg, rel. 19.8
46.28 deg, rel. 22.3
52.50 deg, rel. 24.8
62.31 deg, rel. 18.8
63.64 deg, rel. 19.6
82.23 deg, rel. 17.7

Structural model:
abc: 9.3056 9.3056 9.3056
angles: 109.47 109.47 109.47
Sites, in units of the cell vectors:
1 Ba 0.1250 0.7500 0.8750
2 Ba 0.2500 0.6250 0.3750
3 Ba 0.3750 0.2500 0.6250
4 Ba 0.6250 0.3750 0.2500
5 Ba 0.7500 0.8750 0.1250
6 Ba 0.8750 0.1250 0.7500
7 Li 0.0000 0.3478 0.5000
8 Li 0.0000 0.8478 0.5000
9 Li 0.1522 0.1522 0.1522
10 Li 0.3478 0.5000 0.0000
11 Li 0.5000 0.0000 0.3478
12 Li 0.5000 0.0000 0.8478
13 Li 0.6522 0.6522 0.6522
14 Li 0.8478 0.5000 0.0000
15 Au 0.1250 0.8750 0.2500
16 Au 0.2500 0.1250 0.8750
17 Au 0.3750 0.6250 0.7500
18 Au 0.6250 0.7500 0.3750
19 Au 0.7500 0.3750 0.6250
20 Au 0.8750 0.2500 0.1250


Theoretical X-ray diffraction stick pattern of BaLi2Au2 for CuKα, from the GGA-PBE geometry in Alexandria.
Kinematic intensities with the Lorentz-polarization factor, no thermal factor.

Top 10 peaks for 2θ = 10–90°, by angle:
20.33 deg, rel. 46.6
24.74 deg, rel. 14.0
28.90 deg, rel. 78.6
34.94 deg, rel. 100.0
40.76 deg, rel. 18.1
41.33 deg, rel. 32.8
55.21 deg, rel. 54.5
66.21 deg, rel. 15.3
67.83 deg, rel. 14.3
85.84 deg, rel. 16.4

Structural model:
abc: 4.3690 4.3690 6.3472
angles: 90.00 90.00 90.00
Sites, in units of the cell vectors:
1 Ba 0.0000 0.0000 0.0000
2 Li 0.0000 0.5000 0.5000
3 Li 0.5000 0.0000 0.5000
4 Au 0.5000 0.5000 0.2477
5 Au 0.5000 0.5000 0.7523


Theoretical X-ray diffraction stick pattern of Ba3Li2Au3 for CuKα, from the GGA-PBE geometry in Alexandria.
Kinematic intensities with the Lorentz-polarization factor, no thermal factor.

Top 10 peaks for 2θ = 10–90°, by angle:
23.13 deg, rel. 40.7
26.54 deg, rel. 18.9
27.37 deg, rel. 100.0
29.46 deg, rel. 28.9
30.30 deg, rel. 39.2
32.02 deg, rel. 38.3
32.92 deg, rel. 43.5
33.98 deg, rel. 50.8
35.26 deg, rel. 27.2
40.73 deg, rel. 20.6

Structural model:
abc: 8.5365 16.3302 7.0438
angles: 90.00 90.00 90.00
Sites, in units of the cell vectors:
1 Ba 0.0237 0.1053 0.1586
2 Ba 0.0237 0.3947 0.1586
3 Ba 0.1671 0.2500 0.6306
4 Ba 0.3329 0.7500 0.1306
5 Ba 0.4763 0.6053 0.6586
6 Ba 0.4763 0.8947 0.6586
7 Ba 0.5237 0.1053 0.3414
8 Ba 0.5237 0.3947 0.3414
9 Ba 0.6671 0.2500 0.8694
10 Ba 0.8329 0.7500 0.3694
11 Ba 0.9763 0.6053 0.8414
12 Ba 0.9763 0.8947 0.8414
13 Li 0.1268 0.5876 0.3722
14 Li 0.1268 0.9124 0.3722
15 Li 0.3732 0.0876 0.8722
16 Li 0.3732 0.4124 0.8722
17 Li 0.6268 0.5876 0.1278
18 Li 0.6268 0.9124 0.1278
19 Li 0.8732 0.0876 0.6278
20 Li 0.8732 0.4124 0.6278
21 Au 0.1808 0.0443 0.5925
22 Au 0.1808 0.4557 0.5925
23 Au 0.1845 0.7500 0.5791
24 Au 0.3155 0.2500 0.0791
25 Au 0.3192 0.5443 0.0925
26 Au 0.3192 0.9557 0.0925
27 Au 0.6808 0.0443 0.9075
28 Au 0.6808 0.4557 0.9075
29 Au 0.6845 0.7500 0.9209
30 Au 0.8155 0.2500 0.4209
31 Au 0.8192 0.5443 0.4075
32 Au 0.8192 0.9557 0.4075


Theoretical X-ray diffraction stick pattern of Ba3Li2Mg2Au4 for CuKα, from the GGA-PBE geometry in Alexandria.
Kinematic intensities with the Lorentz-polarization factor, no thermal factor.

Top 10 peaks for 2θ = 10–90°, by angle:
24.36 deg, rel. 100.0
27.06 deg, rel. 26.6
30.46 deg, rel. 67.2
38.58 deg, rel. 56.6
38.70 deg, rel. 24.5
46.15 deg, rel. 18.9
49.92 deg, rel. 17.0
54.41 deg, rel. 20.5
61.67 deg, rel. 16.1
69.83 deg, rel. 18.8

Structural model:
abc: 4.6678 4.6678 17.0736
angles: 90.00 90.00 120.00
Sites, in units of the cell vectors:
1 Ba 0.0000 0.0000 0.0000
2 Ba 0.0000 0.0000 0.2766
3 Ba 0.0000 0.0000 0.7234
4 Li 0.3333 0.6667 0.1378
5 Li 0.6667 0.3333 0.8622
6 Mg 0.3333 0.6667 0.5580
7 Mg 0.6667 0.3333 0.4420
8 Au 0.3333 0.6667 0.3972
9 Au 0.3333 0.6667 0.8649
10 Au 0.6667 0.3333 0.1351
11 Au 0.6667 0.3333 0.6028


Theoretical X-ray diffraction stick pattern of Ba2LiAuN for CuKα, from the GGA-PBE geometry in Alexandria.
Kinematic intensities with the Lorentz-polarization factor, no thermal factor.

Top 10 peaks for 2θ = 10–90°, by angle:
23.90 deg, rel. 96.4
25.33 deg, rel. 79.9
26.35 deg, rel. 36.8
29.44 deg, rel. 77.8
29.79 deg, rel. 77.5
30.57 deg, rel. 100.0
33.52 deg, rel. 72.5
34.33 deg, rel. 31.3
44.03 deg, rel. 35.0
54.55 deg, rel. 39.2

Structural model:
abc: 7.5108 4.1133 9.3580
angles: 90.00 110.52 90.00
Sites, in units of the cell vectors:
1 Ba 0.1519 0.2500 0.3664
2 Ba 0.2134 0.2500 0.9828
3 Ba 0.7866 0.7500 0.0172
4 Ba 0.8481 0.7500 0.6336
5 Li 0.4438 0.7500 0.2808
6 Li 0.5562 0.2500 0.7192
7 Au 0.3246 0.7500 0.6950
8 Au 0.6754 0.2500 0.3050
9 N 0.1647 0.7500 0.1731
10 N 0.8353 0.2500 0.8269


Theoretical X-ray diffraction stick pattern of BaNa2Li2Au for CuKα, from the GGA-PBE geometry in Alexandria.
Kinematic intensities with the Lorentz-polarization factor, no thermal factor.

Top 10 peaks for 2θ = 10–90°, by angle:
18.11 deg, rel. 69.6
26.93 deg, rel. 33.7
28.45 deg, rel. 100.0
32.64 deg, rel. 35.7
38.45 deg, rel. 23.8
38.73 deg, rel. 44.6
39.57 deg, rel. 22.8
42.81 deg, rel. 31.5
54.19 deg, rel. 17.4
63.54 deg, rel. 25.9

Structural model:
abc: 4.6828 4.6828 19.5935
angles: 90.00 90.00 90.00
Sites, in units of the cell vectors:
1 Ba 0.0000 0.0000 0.0000
2 Ba 0.5000 0.5000 0.5000
3 Na 0.0000 0.5000 0.2500
4 Na 0.0000 0.5000 0.7500
5 Na 0.5000 0.0000 0.2500
6 Na 0.5000 0.0000 0.7500
7 Li 0.0000 0.0000 0.3705
8 Li 0.0000 0.0000 0.6295
9 Li 0.5000 0.5000 0.1295
10 Li 0.5000 0.5000 0.8705
11 Au 0.0000 0.0000 0.5000
12 Au 0.5000 0.5000 0.0000


Theoretical X-ray diffraction stick pattern of Ba2LiScAu6 for CuKα, from the GGA-PBE geometry in Alexandria.
Kinematic intensities with the Lorentz-polarization factor, no thermal factor.

Top 10 peaks for 2θ = 10–90°, by angle:
30.28 deg, rel. 100.0
30.49 deg, rel. 98.2
35.15 deg, rel. 38.8
35.27 deg, rel. 76.8
50.69 deg, rel. 53.6
59.94 deg, rel. 14.0
60.09 deg, rel. 13.8
60.28 deg, rel. 27.5
60.36 deg, rel. 13.7
85.26 deg, rel. 17.5

Structural model:
abc: 7.1982 7.1982 7.1741
angles: 119.79 119.79 89.97
Sites, in units of the cell vectors:
1 Ba 0.2499 0.7501 0.0000
2 Ba 0.7501 0.2499 0.0000
3 Li 0.0000 0.0000 0.5000
4 Sc 0.5000 0.5000 0.5000
5 Au 0.2369 0.2369 0.4996
6 Au 0.2373 0.7627 0.5000
7 Au 0.2376 0.2376 0.9749
8 Au 0.7624 0.7624 0.0251
9 Au 0.7627 0.2373 0.5000
10 Au 0.7631 0.7631 0.5004